No. 1
The following is a computed X-ray diffraction stick pattern of LaDyEr14. It was derived from a crystal structure in Alexandria, relaxed with PBE, using Cu Kα.
Intensities are scaled so that the largest is 100.

Most intense lines, 2θ = 5–70°, low angle first:
2θ 29.1, rel. 8
2θ 30.2, rel. 41
2θ 31.4, rel. 34
2θ 33.2, rel. 100
2θ 37.7, rel. 23
2θ 49.8, rel. 10
2θ 51.6, rel. 26
2θ 57.0, rel. 21
2θ 61.7, rel. 30
2θ 62.7, rel. 16

Cell and atoms:
Unit cell a=11.395 b=7.083 c=7.083 alpha=60.06 beta=90.00 gamma=90.00
Atoms (fractional coordinates):
La 0.000 0.000 0.000
Dy 0.000 0.500 0.500
Er 0.000 0.000 0.500
Er 0.000 0.500 0.000
Er 0.250 0.667 0.667
Er 0.253 0.168 0.168
Er 0.254 0.168 0.666
Er 0.254 0.666 0.168
Er 0.500 0.334 0.334
Er 0.500 0.335 0.834
Er 0.500 0.834 0.335
Er 0.500 0.834 0.834
Er 0.746 0.168 0.666
Er 0.746 0.666 0.168
Er 0.747 0.168 0.168
Er 0.750 0.667 0.667



No. 2
The following is a computed X-ray diffraction stick pattern of La4Dy4Er3. It was derived from a crystal structure in Alexandria, relaxed with PBE, using Cu Kα.
Intensities are scaled so that the largest is 100.

Most intense lines, 2θ = 5–70°, low angle first:
2θ 30.8, rel. 40
2θ 31.3, rel. 52
2θ 31.4, rel. 86
2θ 31.6, rel. 100
2θ 44.4, rel. 29
2θ 45.8, rel. 17
2θ 55.8, rel. 27
2θ 56.5, rel. 18
2θ 61.8, rel. 15
2θ 61.9, rel. 29

Cell and atoms:
Unit cell a=18.252 b=18.252 c=5.722 alpha=98.99 beta=98.99 gamma=11.10
Atoms (fractional coordinates):
La 0.000 0.000 0.000
La 0.540 0.540 0.540
La 0.678 0.678 0.179
La 0.862 0.862 0.362
Dy 0.588 0.588 0.088
Dy 0.725 0.725 0.726
Dy 0.815 0.815 0.815
Dy 0.951 0.951 0.452
Er 0.134 0.134 0.634
Er 0.270 0.270 0.270
Er 0.406 0.406 0.906



No. 3
The following is a computed X-ray diffraction stick pattern of La5DyEr3. It was derived from a crystal structure in Alexandria, relaxed with PBE, using Cu Kα.
Intensities are scaled so that the largest is 100.

Most intense lines, 2θ = 5–70°, low angle first:
2θ 27.2, rel. 35
2θ 27.6, rel. 29
2θ 29.2, rel. 30
2θ 30.6, rel. 67
2θ 31.5, rel. 83
2θ 31.8, rel. 100
2θ 33.2, rel. 31
2θ 34.5, rel. 23
2θ 47.2, rel. 21
2θ 56.9, rel. 21

Cell and atoms:
Unit cell a=10.075 b=10.075 c=11.562 alpha=114.96 beta=114.96 gamma=37.95
Atoms (fractional coordinates):
La 0.029 0.643 0.289
La 0.100 0.900 0.750
La 0.149 0.502 0.641
La 0.357 0.971 0.211
La 0.498 0.851 0.859
La 0.502 0.149 0.141
La 0.643 0.029 0.789
La 0.851 0.498 0.359
La 0.900 0.100 0.250
La 0.971 0.357 0.711
Dy 0.373 0.627 0.250
Dy 0.627 0.373 0.750
Er 0.056 0.624 0.986
Er 0.376 0.944 0.514
Er 0.500 0.500 0.000
Er 0.500 0.500 0.500
Er 0.624 0.056 0.486
Er 0.944 0.376 0.014



No. 4
The following is a computed X-ray diffraction stick pattern of LaNd2Dy2Er. It was derived from a crystal structure in Alexandria, relaxed with PBE, using Cu Kα.
Intensities are scaled so that the largest is 100.

Most intense lines, 2θ = 5–70°, low angle first:
2θ 31.1, rel. 100
2θ 31.2, rel. 74
2θ 31.4, rel. 37
2θ 44.6, rel. 12
2θ 44.8, rel. 25
2θ 55.5, rel. 20
2θ 55.6, rel. 13
2θ 55.8, rel. 27
2θ 61.7, rel. 21
2θ 61.8, rel. 12

Cell and atoms:
Unit cell a=7.066 b=9.936 c=5.694 alpha=90.00 beta=90.00 gamma=90.00
Atoms (fractional coordinates):
La 0.000 0.000 0.000
La 0.500 0.500 0.500
Nd 0.247 0.333 0.000
Nd 0.253 0.833 0.500
Nd 0.747 0.167 0.500
Nd 0.753 0.667 0.000
Dy 0.249 0.667 0.000
Dy 0.251 0.167 0.500
Dy 0.749 0.833 0.500
Dy 0.751 0.333 0.000
Er 0.000 0.500 0.500
Er 0.500 0.000 0.000